1.
This entry pairs a crystal structure of Th4TlOs2 with its calculated X-ray diffraction stick pattern. Radiation: Cu Kα (λ = 1.5418 Å). Structure: a cell relaxed with PBE.
Neutral-atom scattering factors, no anomalous dispersion.

Peak list (12 most intense, 2θ = 10–90°, by angle)
| two_theta | I (rel.) |
| --- | --- |
| 28.04 | 40 |
| 28.19 | 20 |
| 31.05 | 100 |
| 31.26 | 41 |
| 31.80 | 69 |
| 32.28 | 56 |
| 32.48 | 47 |
| 33.73 | 42 |
| 35.05 | 87 |
| 39.52 | 36 |
| 41.75 | 28 |
| 43.18 | 34 |

Structure:
Cell lengths 8.841, 8.841, 7.097 Å; angles 107.26, 107.26, 121.02 degrees
Sites, in units of the cell vectors:
Th 0.017 0.983 0.500
Th 0.034 0.470 0.287
Th 0.300 0.857 0.147
Th 0.424 0.578 0.826
Th 0.470 0.034 0.787
Th 0.578 0.424 0.326
Th 0.857 0.300 0.647
Th 0.983 0.017 0.000
Tl 0.559 0.780 0.471
Tl 0.780 0.559 0.971
Os 0.054 0.730 0.684
Os 0.205 0.384 0.997
Os 0.384 0.205 0.497
Os 0.730 0.054 0.184

=====

2.
This entry pairs a crystal structure of Th6Tl3Os with its calculated X-ray diffraction stick pattern. Radiation: Cu Kα (λ = 1.5418 Å). Structure: a cell relaxed with PBE.
Neutral-atom scattering factors, no anomalous dispersion.

Peak list (12 most intense, 2θ = 10–90°, by angle)
| two_theta | I (rel.) |
| --- | --- |
| 25.93 | 22 |
| 29.00 | 23 |
| 29.33 | 70 |
| 29.58 | 33 |
| 30.19 | 47 |
| 31.03 | 49 |
| 31.76 | 32 |
| 31.98 | 34 |
| 32.29 | 36 |
| 33.10 | 100 |
| 33.98 | 23 |
| 52.56 | 23 |

Structure:
Cell lengths 6.093, 9.064, 12.559 Å; angles 90.00, 116.97, 90.00 degrees
Sites, in units of the cell vectors:
Th 0.038 0.155 0.440
Th 0.038 0.345 0.940
Th 0.363 0.695 0.437
Th 0.363 0.805 0.937
Th 0.404 0.043 0.268
Th 0.404 0.457 0.768
Th 0.596 0.543 0.232
Th 0.596 0.957 0.732
Th 0.637 0.195 0.063
Th 0.637 0.305 0.563
Th 0.962 0.655 0.060
Th 0.962 0.845 0.560
Tl 0.000 0.000 0.000
Tl 0.000 0.500 0.500
Tl 0.155 0.123 0.763
Tl 0.155 0.377 0.263
Tl 0.845 0.623 0.737
Tl 0.845 0.877 0.237
Os 0.500 0.000 0.500
Os 0.500 0.500 0.000

=====

3.
This entry pairs a crystal structure of YThOs with its calculated X-ray diffraction stick pattern. Radiation: Cu Kα (λ = 1.5418 Å). Structure: a cell relaxed with PBE.
Neutral-atom scattering factors, no anomalous dispersion.

Peak list (12 most intense, 2θ = 10–90°, by angle)
| two_theta | I (rel.) |
| --- | --- |
| 11.15 | 90 |
| 31.25 | 100 |
| 33.89 | 12 |
| 35.32 | 33 |
| 37.04 | 19 |
| 37.15 | 26 |
| 38.80 | 23 |
| 38.91 | 27 |
| 41.32 | 19 |
| 45.28 | 12 |
| 48.26 | 11 |
| 50.11 | 20 |

Structure:
Cell lengths 9.440, 9.440, 9.440 Å; angles 114.40, 114.40, 114.40 degrees
Sites, in units of the cell vectors:
Y 0.128 0.315 0.427
Y 0.315 0.427 0.128
Y 0.427 0.128 0.315
Y 0.573 0.872 0.685
Y 0.685 0.573 0.872
Y 0.872 0.685 0.573
Th 0.011 0.503 0.813
Th 0.187 0.989 0.497
Th 0.497 0.187 0.989
Th 0.503 0.813 0.011
Th 0.813 0.011 0.503
Th 0.989 0.497 0.187
Os 0.218 0.719 0.648
Os 0.281 0.352 0.782
Os 0.352 0.782 0.281
Os 0.648 0.218 0.719
Os 0.719 0.648 0.218
Os 0.782 0.281 0.352

=====

4.
This entry pairs a crystal structure of Th2Zn16Os with its calculated X-ray diffraction stick pattern. Radiation: Cu Kα (λ = 1.5418 Å). Structure: a cell relaxed with PBE.
Neutral-atom scattering factors, no anomalous dispersion.

Peak list (12 most intense, 2θ = 10–90°, by angle)
| two_theta | I (rel.) |
| --- | --- |
| 19.58 | 35 |
| 28.26 | 44 |
| 34.25 | 66 |
| 35.54 | 47 |
| 39.76 | 96 |
| 40.08 | 100 |
| 40.89 | 34 |
| 41.03 | 34 |
| 41.21 | 37 |
| 57.73 | 23 |
| 72.17 | 22 |
| 74.10 | 27 |

Structure:
Cell lengths 6.839, 6.839, 6.839 Å; angles 83.06, 83.06, 83.06 degrees
Sites, in units of the cell vectors:
Th 0.000 0.000 0.000
Th 0.331 0.331 0.331
Zn 0.012 0.012 0.499
Zn 0.012 0.499 0.012
Zn 0.161 0.654 0.654
Zn 0.309 0.309 0.813
Zn 0.309 0.813 0.309
Zn 0.373 0.655 0.938
Zn 0.373 0.938 0.655
Zn 0.499 0.012 0.012
Zn 0.654 0.161 0.654
Zn 0.654 0.654 0.161
Zn 0.655 0.373 0.938
Zn 0.655 0.938 0.373
Zn 0.757 0.757 0.757
Zn 0.813 0.309 0.309
Zn 0.938 0.373 0.655
Zn 0.938 0.655 0.373
Os 0.551 0.551 0.551

=====

5.
This entry pairs a crystal structure of ThZrZnOs with its calculated X-ray diffraction stick pattern. Radiation: Cu Kα (λ = 1.5418 Å). Structure: a cell relaxed with PBE.
Neutral-atom scattering factors, no anomalous dispersion.

Peak list (12 most intense, 2θ = 10–90°, by angle)
| two_theta | I (rel.) |
| --- | --- |
| 22.14 | 21 |
| 25.61 | 1 |
| 36.54 | 100 |
| 43.13 | 12 |
| 52.63 | 18 |
| 57.78 | 5 |
| 59.43 | 1 |
| 65.77 | 36 |
| 70.33 | 4 |
| 77.65 | 11 |
| 81.95 | 4 |
| 89.01 | 17 |

Structure:
Cell lengths 4.918, 4.918, 4.918 Å; angles 60.00, 60.00, 60.00 degrees
Sites, in units of the cell vectors:
Th 0.000 0.000 0.000
Zr 0.500 0.500 0.500
Zn 0.250 0.250 0.250
Os 0.750 0.750 0.750

=====

6.
This entry pairs a crystal structure of Ti5Os3 with its calculated X-ray diffraction stick pattern. Radiation: Cu Kα (λ = 1.5418 Å). Structure: a cell relaxed with PBE.
Neutral-atom scattering factors, no anomalous dispersion.

Peak list (12 most intense, 2θ = 10–90°, by angle)
| two_theta | I (rel.) |
| --- | --- |
| 24.94 | 80 |
| 30.77 | 8 |
| 38.52 | 14 |
| 40.00 | 100 |
| 43.93 | 36 |
| 51.17 | 17 |
| 54.58 | 18 |
| 60.91 | 18 |
| 69.68 | 9 |
| 69.89 | 10 |
| 78.08 | 22 |
| 80.95 | 12 |

Structure:
Cell lengths 7.140, 7.140, 2.906 Å; angles 90.00, 90.00, 120.00 degrees
Sites, in units of the cell vectors:
Ti 0.000 0.772 0.000
Ti 0.228 0.228 0.000
Ti 0.333 0.667 0.000
Ti 0.667 0.333 0.000
Ti 0.772 0.000 0.000
Os 0.000 0.356 0.500
Os 0.356 0.000 0.500
Os 0.644 0.644 0.500

=====

7.
This entry pairs a crystal structure of TmTi4Os5 with its calculated X-ray diffraction stick pattern. Radiation: Cu Kα (λ = 1.5418 Å). Structure: a cell relaxed with PBE.
Neutral-atom scattering factors, no anomalous dispersion.

Peak list (12 most intense, 2θ = 10–90°, by angle)
| two_theta | I (rel.) |
| --- | --- |
| 27.96 | 11 |
| 28.55 | 28 |
| 36.52 | 8 |
| 40.39 | 100 |
| 40.82 | 56 |
| 50.20 | 10 |
| 59.10 | 19 |
| 71.72 | 6 |
| 73.14 | 11 |
| 74.03 | 33 |
| 87.32 | 7 |
| 88.45 | 6 |

Structure:
Cell lengths 3.126, 3.126, 15.958 Å; angles 90.00, 90.00, 90.00 degrees
Sites, in units of the cell vectors:
Tm 0.000 0.000 0.000
Ti 0.000 0.000 0.208
Ti 0.000 0.000 0.403
Ti 0.000 0.000 0.597
Ti 0.000 0.000 0.792
Os 0.500 0.500 0.119
Os 0.500 0.500 0.309
Os 0.500 0.500 0.500
Os 0.500 0.500 0.691
Os 0.500 0.500 0.881

=====

8.
This entry pairs a crystal structure of Ti4VOs with its calculated X-ray diffraction stick pattern. Radiation: Cu Kα (λ = 1.5418 Å). Structure: a cell relaxed with PBE.
Neutral-atom scattering factors, no anomalous dispersion.

Peak list (12 most intense, 2θ = 10–90°, by angle)
| two_theta | I (rel.) |
| --- | --- |
| 19.75 | 45 |
| 23.34 | 48 |
| 25.82 | 24 |
| 32.17 | 12 |
| 40.08 | 73 |
| 40.20 | 39 |
| 41.01 | 100 |
| 53.12 | 12 |
| 58.81 | 22 |
| 72.38 | 12 |
| 73.97 | 12 |
| 74.17 | 22 |

Structure:
Cell lengths 5.200, 5.200, 5.564 Å; angles 122.12, 122.12, 50.03 degrees
Sites, in units of the cell vectors:
Ti 0.161 0.161 0.314
Ti 0.175 0.175 0.820
Ti 0.825 0.825 0.180
Ti 0.839 0.839 0.686
V 0.500 0.500 0.500
Os 0.500 0.500 0.000

=====

9.
This entry pairs a crystal structure of TiVOsW with its calculated X-ray diffraction stick pattern. Radiation: Cu Kα (λ = 1.5418 Å). Structure: a cell relaxed with PBE.
Neutral-atom scattering factors, no anomalous dispersion.

Peak list (12 most intense, 2θ = 10–90°, by angle)
| two_theta | I (rel.) |
| --- | --- |
| 28.85 | 44 |
| 29.04 | 21 |
| 40.89 | 26 |
| 41.39 | 100 |
| 41.61 | 25 |
| 50.93 | 10 |
| 51.54 | 9 |
| 59.76 | 17 |
| 67.80 | 9 |
| 74.80 | 17 |
| 75.80 | 25 |
| 89.96 | 11 |

Structure:
Cell lengths 3.075, 4.341, 4.414 Å; angles 90.00, 90.00, 90.00 degrees
Sites, in units of the cell vectors:
Ti 0.000 0.000 0.000
V 0.000 0.500 0.500
Os 0.500 0.500 0.000
W 0.500 0.000 0.500

=====

10.
This entry pairs a crystal structure of Tl4Os with its calculated X-ray diffraction stick pattern. Radiation: Cu Kα (λ = 1.5418 Å). Structure: a cell relaxed with PBE.
Neutral-atom scattering factors, no anomalous dispersion.

Peak list (12 most intense, 2θ = 10–90°, by angle)
| two_theta | I (rel.) |
| --- | --- |
| 19.73 | 25 |
| 28.05 | 53 |
| 34.21 | 100 |
| 34.45 | 81 |
| 39.80 | 52 |
| 40.08 | 51 |
| 44.99 | 22 |
| 53.69 | 40 |
| 61.05 | 23 |
| 61.83 | 36 |
| 68.83 | 28 |
| 76.27 | 18 |

Structure:
Cell lengths 6.363, 6.363, 6.449 Å; angles 90.00, 90.00, 90.00 degrees
Sites, in units of the cell vectors:
Tl 0.210 0.212 0.329
Tl 0.212 0.790 0.671
Tl 0.288 0.290 0.829
Tl 0.290 0.712 0.171
Tl 0.710 0.288 0.171
Tl 0.712 0.710 0.829
Tl 0.788 0.210 0.671
Tl 0.790 0.788 0.329
Os 0.000 0.000 0.000
Os 0.500 0.500 0.500

=====

11.
This entry pairs a crystal structure of TlOs2 with its calculated X-ray diffraction stick pattern. Radiation: Cu Kα (λ = 1.5418 Å). Structure: a cell relaxed with PBE.
Neutral-atom scattering factors, no anomalous dispersion.

Peak list (12 most intense, 2θ = 10–90°, by angle)
| two_theta | I (rel.) |
| --- | --- |
| 14.38 | 3 |
| 28.99 | 5 |
| 37.99 | 100 |
| 44.15 | 49 |
| 48.48 | 3 |
| 53.70 | 4 |
| 61.64 | 7 |
| 64.21 | 29 |
| 77.03 | 7 |
| 77.14 | 26 |
| 77.49 | 3 |
| 81.22 | 9 |

Structure:
Cell lengths 6.493, 6.493, 6.493 Å; angles 154.20, 154.20, 36.82 degrees
Sites, in units of the cell vectors:
Tl 0.000 0.000 0.000
Os 0.315 0.315 0.000
Os 0.685 0.685 0.000

=====

12.
This entry pairs a crystal structure of Tl2Os with its calculated X-ray diffraction stick pattern. Radiation: Cu Kα (λ = 1.5418 Å). Structure: a cell relaxed with PBE.
Neutral-atom scattering factors, no anomalous dispersion.

Peak list (12 most intense, 2θ = 10–90°, by angle)
| two_theta | I (rel.) |
| --- | --- |
| 28.56 | 34 |
| 29.67 | 67 |
| 31.56 | 100 |
| 31.81 | 71 |
| 35.37 | 23 |
| 41.48 | 84 |
| 45.84 | 43 |
| 50.21 | 32 |
| 53.32 | 22 |
| 55.70 | 25 |
| 63.46 | 33 |
| 76.27 | 19 |

Structure:
Cell lengths 15.124, 15.124, 3.436 Å; angles 90.00, 90.00, 168.88 degrees
Sites, in units of the cell vectors:
Tl 0.052 0.948 0.750
Tl 0.351 0.649 0.750
Tl 0.649 0.351 0.250
Tl 0.948 0.052 0.250
Os 0.270 0.730 0.250
Os 0.730 0.270 0.750

=====

13.
This entry pairs a crystal structure of Tm8TlOs2 with its calculated X-ray diffraction stick pattern. Radiation: Cu Kα (λ = 1.5418 Å). Structure: a cell relaxed with PBE.
Neutral-atom scattering factors, no anomalous dispersion.

Peak list (12 most intense, 2θ = 10–90°, by angle)
| two_theta | I (rel.) |
| --- | --- |
| 30.76 | 69 |
| 31.64 | 82 |
| 32.10 | 41 |
| 32.91 | 76 |
| 34.98 | 94 |
| 36.16 | 78 |
| 36.31 | 100 |
| 39.45 | 23 |
| 40.53 | 28 |
| 42.98 | 29 |
| 49.86 | 25 |
| 64.64 | 19 |

Structure:
Cell lengths 9.068, 9.068, 6.979 Å; angles 109.99, 109.99, 31.67 degrees
Sites, in units of the cell vectors:
Tm 0.000 0.000 0.000
Tm 0.122 0.122 0.748
Tm 0.316 0.316 0.216
Tm 0.369 0.369 0.817
Tm 0.528 0.528 0.353
Tm 0.677 0.677 0.087
Tm 0.736 0.736 0.646
Tm 0.924 0.924 0.501
Tl 0.165 0.165 0.361
Os 0.522 0.522 0.744
Os 0.843 0.843 0.050

=====

14.
This entry pairs a crystal structure of Y3TlOs with its calculated X-ray diffraction stick pattern. Radiation: Cu Kα (λ = 1.5418 Å). Structure: a cell relaxed with PBE.
Neutral-atom scattering factors, no anomalous dispersion.

Peak list (12 most intense, 2θ = 10–90°, by angle)
| two_theta | I (rel.) |
| --- | --- |
| 21.25 | 67 |
| 21.63 | 22 |
| 31.27 | 24 |
| 31.80 | 22 |
| 34.70 | 100 |
| 34.95 | 67 |
| 37.02 | 23 |
| 37.71 | 41 |
| 43.28 | 21 |
| 47.06 | 17 |
| 51.82 | 19 |
| 65.23 | 14 |

Structure:
Cell lengths 9.544, 8.850, 5.866 Å; angles 77.97, 65.08, 36.95 degrees
Sites, in units of the cell vectors:
Y 0.197 0.576 0.424
Y 0.201 0.201 0.799
Y 0.424 0.803 0.197
Y 0.576 0.197 0.803
Y 0.799 0.799 0.201
Y 0.803 0.424 0.576
Tl 0.216 0.784 0.784
Tl 0.784 0.216 0.216
Os 0.250 0.250 0.250
Os 0.750 0.750 0.750